# 1
Diffraction record for AcSi2AgPd5. The powder X-ray diffraction pattern is theoretical, not measured: it uses a crystal structure in Alexandria, relaxed with PBE and Cu Kα (λ = 1.5418 Å).
Kinematic intensities with the Lorentz-polarization factor, no thermal factor.

Peak list (10 most intense, 2θ from 10° to 80°, by intensity)
d 2.466, 2θ = 36.44°, I = 100
d 2.395, 2θ = 37.55°, I = 69
d 1.694, 2θ = 54.15°, I = 33
d 1.396, 2θ = 67.05°, I = 33
d 3.064, 2θ = 29.14°, I = 19
d 2.876, 2θ = 31.10°, I = 14
d 1.438, 2θ = 64.84°, I = 14
d 4.790, 2θ = 18.52°, I = 10
d 1.233, 2θ = 77.42°, I = 9
d 1.840, 2θ = 49.53°, I = 8

Crystal structure
Lattice parameters (Å, degrees): 4.790 4.790 7.192 90.00 90.00 90.00
Sites, in units of the cell vectors:
Ac: 0.000 0.000 0.000
Si: 0.500 0.500 0.341
Si: 0.500 0.500 0.659
Ag: 0.000 0.000 0.500
Pd: 0.000 0.500 0.281
Pd: 0.000 0.500 0.719
Pd: 0.500 0.000 0.281
Pd: 0.500 0.000 0.719
Pd: 0.500 0.500 0.000

# 2
Diffraction record for Y3Ga9Ir2. The powder X-ray diffraction pattern is theoretical, not measured: it uses a crystal structure in Alexandria, relaxed with PBE and Cu Kα (λ = 1.5418 Å).
Kinematic intensities with the Lorentz-polarization factor, no thermal factor.

Peak list (10 most intense, 2θ from 10° to 80°, by intensity)
d 2.523, 2θ = 35.59°, I = 100
d 2.358, 2θ = 38.16°, I = 42
d 2.135, 2θ = 42.33°, I = 36
d 1.971, 2θ = 46.05°, I = 27
d 2.430, 2θ = 36.99°, I = 25
d 3.079, 2θ = 29.00°, I = 19
d 6.217, 2θ = 14.25°, I = 19
d 2.052, 2θ = 44.13°, I = 19
d 2.072, 2θ = 43.68°, I = 17
d 7.564, 2θ = 11.70°, I = 16

Crystal structure
Lattice parameters (Å, degrees): 8.119 8.119 8.119 149.50 108.12 80.05
Sites, in units of the cell vectors:
Y: 0.000 0.000 0.000
Y: 0.298 0.298 0.000
Y: 0.702 0.702 0.000
Ga: 0.019 0.655 0.364
Ga: 0.148 0.866 0.282
Ga: 0.290 0.655 0.636
Ga: 0.416 0.134 0.282
Ga: 0.500 0.000 0.500
Ga: 0.584 0.866 0.718
Ga: 0.710 0.345 0.364
Ga: 0.852 0.134 0.718
Ga: 0.981 0.345 0.636
Ir: 0.321 0.500 0.821
Ir: 0.679 0.500 0.179

# 3
Diffraction record for BaLa3Pt. The powder X-ray diffraction pattern is theoretical, not measured: it uses a crystal structure in Alexandria, relaxed with PBE and Cu Kα (λ = 1.5418 Å).
Kinematic intensities with the Lorentz-polarization factor, no thermal factor.

Peak list (10 most intense, 2θ from 10° to 80°, by intensity)
d 3.135, 2θ = 28.47°, I = 100
d 8.110, 2θ = 10.91°, I = 49
d 2.472, 2θ = 36.35°, I = 39
d 6.516, 2θ = 13.59°, I = 29
d 1.921, 2θ = 47.32°, I = 21
d 2.686, 2θ = 33.36°, I = 20
d 1.568, 2θ = 58.91°, I = 17
d 3.101, 2θ = 28.79°, I = 16
d 2.239, 2θ = 40.27°, I = 15
d 3.040, 2θ = 29.38°, I = 15

Crystal structure
Lattice parameters (Å, degrees): 6.874 16.220 7.115 90.00 90.00 90.00
Sites, in units of the cell vectors:
Ba: 0.000 0.000 0.000
Ba: 0.000 0.500 0.000
Ba: 0.500 0.000 0.500
Ba: 0.500 0.500 0.500
La: 0.005 0.137 0.464
La: 0.005 0.363 0.464
La: 0.038 0.250 0.913
La: 0.462 0.750 0.413
La: 0.495 0.637 0.964
La: 0.495 0.863 0.964
La: 0.505 0.137 0.036
La: 0.505 0.363 0.036
La: 0.538 0.250 0.587
La: 0.962 0.750 0.087
La: 0.995 0.637 0.536
La: 0.995 0.863 0.536
Pt: 0.233 0.750 0.772
Pt: 0.267 0.250 0.272
Pt: 0.733 0.750 0.728
Pt: 0.767 0.250 0.228

# 4
Diffraction record for Mn2CoS2. The powder X-ray diffraction pattern is theoretical, not measured: it uses a crystal structure in Alexandria, relaxed with PBE and Cu Kα (λ = 1.5418 Å).
Kinematic intensities with the Lorentz-polarization factor, no thermal factor.

Peak list (10 most intense, 2θ from 10° to 80°, by intensity)
d 2.149, 2θ = 42.05°, I = 100
d 2.001, 2θ = 45.33°, I = 54
d 2.658, 2θ = 33.73°, I = 39
d 1.274, 2θ = 74.49°, I = 22
d 1.652, 2θ = 55.64°, I = 16
d 2.285, 2θ = 39.44°, I = 12
d 1.427, 2θ = 65.42°, I = 12
d 2.237, 2θ = 40.32°, I = 12
d 1.392, 2θ = 67.28°, I = 11
d 1.852, 2θ = 49.19°, I = 8

Crystal structure
Lattice parameters (Å, degrees): 6.326 6.326 3.304 90.00 90.00 90.00
Sites, in units of the cell vectors:
Mn: 0.147 0.353 0.000
Mn: 0.353 0.853 0.000
Mn: 0.647 0.147 0.000
Mn: 0.853 0.647 0.000
Co: 0.000 0.000 0.500
Co: 0.500 0.500 0.500
S: 0.167 0.667 0.500
S: 0.333 0.167 0.500
S: 0.667 0.833 0.500
S: 0.833 0.333 0.500